(1)
Structure and theoretical powder diffractogram of PrScTe2Cl (a cell relaxed with GGA-PBE; λ = 1.5418 Å (Cu Kα)).
No peak broadening, texture or thermal motion is included.

Structural model:
a = 4.307 Å, b = 4.307 Å, c = 14.770 Å
α = 90.00°, β = 90.00°, γ = 90.00°
Element x y z (fractional)
Pr: 0.250 0.250 0.138
Pr: 0.750 0.750 0.862
Sc: 0.250 0.250 0.582
Sc: 0.750 0.750 0.418
Te: 0.250 0.250 0.386
Te: 0.250 0.250 0.785
Te: 0.750 0.750 0.215
Te: 0.750 0.750 0.614
Cl: 0.250 0.750 0.000
Cl: 0.750 0.250 0.000

Peak list (10 most intense, 5° ≤ 2θ ≤ 70°, in order of falling intensity)
2θ (°)	I_rel
29.32	100
27.51	77
41.95	52
36.90	47
38.31	33
50.90	29
57.08	26
34.63	23
30.26	18
31.78	18

(2)
Structure and theoretical powder diffractogram of Tb6Os2Ru (a cell relaxed with GGA-PBE; λ = 1.5418 Å (Cu Kα)).
No peak broadening, texture or thermal motion is included.

Structural model:
a = 6.661 Å, b = 7.301 Å, c = 11.376 Å
α = 90.00°, β = 123.51°, γ = 90.00°
Element x y z (fractional)
Tb: 0.075 0.032 0.239
Tb: 0.075 0.468 0.739
Tb: 0.223 0.664 0.071
Tb: 0.223 0.836 0.571
Tb: 0.399 0.171 0.074
Tb: 0.399 0.329 0.574
Tb: 0.601 0.671 0.426
Tb: 0.601 0.829 0.926
Tb: 0.777 0.164 0.429
Tb: 0.777 0.336 0.929
Tb: 0.925 0.532 0.261
Tb: 0.925 0.968 0.761
Os: 0.317 0.142 0.782
Os: 0.317 0.358 0.282
Os: 0.683 0.642 0.718
Os: 0.683 0.858 0.218
Ru: 0.500 0.000 0.500
Ru: 0.500 0.500 0.000

Peak list (10 most intense, 5° ≤ 2θ ≤ 70°, in order of falling intensity)
2θ (°)	I_rel
39.42	100
30.84	98
33.48	90
31.34	83
34.15	77
31.82	75
37.64	73
29.63	61
58.37	57
33.23	51

(3)
Structure and theoretical powder diffractogram of NiHgBr (a cell relaxed with GGA-PBE; λ = 1.5418 Å (Cu Kα)).
No peak broadening, texture or thermal motion is included.

Structural model:
a = 4.786 Å, b = 11.787 Å, c = 4.873 Å
α = 90.00°, β = 90.00°, γ = 90.00°
Element x y z (fractional)
Ni: 0.000 0.107 0.000
Ni: 0.000 0.893 0.000
Ni: 0.500 0.393 0.000
Ni: 0.500 0.607 0.000
Hg: 0.000 0.000 0.500
Hg: 0.000 0.500 0.000
Hg: 0.500 0.000 0.000
Hg: 0.500 0.500 0.500
Br: 0.250 0.250 0.755
Br: 0.250 0.750 0.245
Br: 0.750 0.250 0.245
Br: 0.750 0.750 0.755

Peak list (10 most intense, 5° ≤ 2θ ≤ 70°, in order of falling intensity)
2θ (°)	I_rel
34.81	100
27.19	92
46.83	57
15.03	53
40.05	51
40.69	49
30.33	30
53.68	29
65.13	16
62.91	16

(4)
Structure and theoretical powder diffractogram of Ac4AgGe2 (a cell relaxed with GGA-PBE; λ = 1.5418 Å (Cu Kα)).
No peak broadening, texture or thermal motion is included.

Structural model:
a = 8.883 Å, b = 8.883 Å, c = 9.214 Å
α = 121.19°, β = 121.19°, γ = 76.19°
Element x y z (fractional)
Ac: 0.215 0.785 0.548
Ac: 0.215 0.785 0.952
Ac: 0.268 0.335 0.052
Ac: 0.335 0.268 0.552
Ac: 0.665 0.732 0.448
Ac: 0.732 0.665 0.948
Ac: 0.785 0.215 0.048
Ac: 0.785 0.215 0.452
Ag: 0.053 0.947 0.250
Ag: 0.947 0.053 0.750
Ge: 0.000 0.500 0.500
Ge: 0.500 0.000 0.000
Ge: 0.500 0.500 0.000
Ge: 0.500 0.500 0.500

Peak list (10 most intense, 5° ≤ 2θ ≤ 70°, in order of falling intensity)
2θ (°)	I_rel
25.70	100
25.25	82
42.05	58
23.43	50
26.24	48
40.67	45
33.11	39
26.67	38
34.06	29
25.81	27

(5)
Structure and theoretical powder diffractogram of PmAl6Ru (a cell relaxed with GGA-PBE; λ = 1.5418 Å (Cu Kα)).
No peak broadening, texture or thermal motion is included.

Structural model:
a = 6.658 Å, b = 6.658 Å, c = 6.658 Å
α = 53.25°, β = 53.25°, γ = 53.25°
Element x y z (fractional)
Pm: 0.000 0.000 0.000
Al: 0.052 0.591 0.591
Al: 0.409 0.409 0.948
Al: 0.409 0.948 0.409
Al: 0.591 0.052 0.591
Al: 0.591 0.591 0.052
Al: 0.948 0.409 0.409
Ru: 0.500 0.500 0.500

Peak list (10 most intense, 5° ≤ 2θ ≤ 70°, in order of falling intensity)
2θ (°)	I_rel
20.08	100
27.08	96
36.32	61
43.94	58
29.95	35
47.76	30
45.97	25
51.44	24
63.07	20
35.12	20

(6)
Structure and theoretical powder diffractogram of SmZrBe (a cell relaxed with GGA-PBE; λ = 1.5418 Å (Cu Kα)).
No peak broadening, texture or thermal motion is included.

Structural model:
a = 3.301 Å, b = 3.301 Å, c = 11.852 Å
α = 90.00°, β = 90.00°, γ = 90.00°
Element x y z (fractional)
Sm: 0.000 0.000 0.000
Sm: 0.500 0.500 0.500
Zr: 0.000 0.000 0.291
Zr: 0.500 0.500 0.791
Be: 0.000 0.000 0.670
Be: 0.500 0.500 0.170

Peak list (10 most intense, 5° ≤ 2θ ≤ 70°, in order of falling intensity)
2θ (°)	I_rel
35.44	100
28.06	78
38.57	46
61.53	33
30.16	32
49.73	31
67.76	30
14.95	21
55.69	16
63.51	15

Question: Which formula does entry 6 have?
Answer: SmZrBe

Question: Which formula does entry 4 have?
Answer: Ac4AgGe2

What did the second record say?
Structure and theoretical powder diffractogram of Tb6Os2Ru (a cell relaxed with GGA-PBE; λ = 1.5418 Å (Cu Kα)).
No peak broadening, texture or thermal motion is included.

Structural model:
a = 6.661 Å, b = 7.301 Å, c = 11.376 Å
α = 90.00°, β = 123.51°, γ = 90.00°
Element x y z (fractional)
Tb: 0.075 0.032 0.239
Tb: 0.075 0.468 0.739
Tb: 0.223 0.664 0.071
Tb: 0.223 0.836 0.571
Tb: 0.399 0.171 0.074
Tb: 0.399 0.329 0.574
Tb: 0.601 0.671 0.426
Tb: 0.601 0.829 0.926
Tb: 0.777 0.164 0.429
Tb: 0.777 0.336 0.929
Tb: 0.925 0.532 0.261
Tb: 0.925 0.968 0.761
Os: 0.317 0.142 0.782
Os: 0.317 0.358 0.282
Os: 0.683 0.642 0.718
Os: 0.683 0.858 0.218
Ru: 0.500 0.000 0.500
Ru: 0.500 0.500 0.000

Peak list (10 most intense, 5° ≤ 2θ ≤ 70°, in order of falling intensity)
2θ (°)	I_rel
39.42	100
30.84	98
33.48	90
31.34	83
34.15	77
31.82	75
37.64	73
29.63	61
58.37	57
33.23	51